Theoretical powder XRD pattern
Compound: NdGa7Cu5
Radiation: Cu Kα
Structure: a DFT-relaxed cell (GGA-PBE, Alexandria)
Peak positions follow from Bragg's law for the DFT cell and can differ from measured ones.

Principal peaks in the range 5° ≤ 2θ ≤ 70°, by angle:
2.620 Å, 34.22°, rel. 34, hkl 2 0 0
2.584 Å, 34.71°, rel. 52, hkl 1 3 0
2.534 Å, 35.43°, rel. 36, hkl 1 0 3
2.259 Å, 39.92°, rel. 63, hkl 2 2 0
2.243 Å, 40.20°, rel. 60, hkl 2 0 2
2.228 Å, 40.49°, rel. 44, hkl 0 4 0
2.221 Å, 40.63°, rel. 100, hkl 1 3 2
2.203 Å, 40.98°, rel. 67, hkl 1 2 3
2.171 Å, 41.60°, rel. 49, hkl 0 0 4
2.004 Å, 45.26°, rel. 71, hkl 2 2 2

Crystal structure
Unit cell a=5.240 b=8.911 c=8.684 alpha=90.00 beta=90.00 gamma=90.00
Space group Imm2 (No. 44)
Asymmetric unit:
Nd1 0.000 0.000 0.000
Ga1 0.000 0.000 0.352
Ga2 0.000 0.000 0.652
Ga3 0.000 0.297 0.491
Ga4 0.000 0.347 0.008
Ga5 0.000 0.500 0.729
Cu1 0.000 0.500 0.269
Cu2 0.248 0.251 0.747